Entry 1:
For TmMg, a structure optimized by DFT (GGA-PBE) gives the calculated X-ray diffraction stick pattern in this record (copper Kα).
Lines closer than 0.1° are merged.

The 10 most intense peaks (10° ≤ 2θ ≤ 90°), sorted by position:
- 3.751 Å, rel. 65.5, (1 0 0)
- 2.652 Å, rel. 100.0, (1 1 0)
- 2.165 Å, rel. 20.3, (1 1 1)
- 1.875 Å, rel. 18.1, (2 0 0)
- 1.677 Å, rel. 27.8, (2 1 0)
- 1.531 Å, rel. 37.5, (2 1 1)
- 1.326 Å, rel. 11.5, (2 2 0)
- 1.250 Å, rel. 13.4, (3 0 0)
- 1.186 Å, rel. 16.2, (3 1 0)
- 1.131 Å, rel. 8.1, (3 1 1)

Structure:
Cell: 3.751 3.751 3.751 Å, 90.00 90.00 90.00°
Space group Pm-3m (No. 221)
Asymmetric unit:
Tm  0.000  0.000  0.000 (multiplicity 1)
Mg  0.500  0.500  0.500 (multiplicity 1)

---

Entry 2:
For BaMg14Ni, a structure optimized by DFT (GGA-PBE) gives the calculated X-ray diffraction stick pattern in this record (copper Kα).
Lines closer than 0.1° are merged.

The 10 most intense peaks (10° ≤ 2θ ≤ 90°), sorted by position:
- 5.847 Å, rel. 22.5, (0 0 2)
- 5.252 Å, rel. 20.4, (2 0 0)
- 5.109 Å, rel. 32.2, (1 0 2)
- 3.907 Å, rel. 16.8, (2 0 2)
- 2.738 Å, rel. 41.2, (0 2 2)
- 2.626 Å, rel. 44.3, (4 0 0)
- 2.554 Å, rel. 71.3, (2 0 4)
- 2.428 Å, rel. 100.0, (2 2 2)
- 1.895 Å, rel. 26.9, (4 2 2)
- 1.475 Å, rel. 17.3, (6 2 2)

Structure:
Cell: 10.504 6.197 11.694 Å, 90.00 90.00 90.00°
Space group Amm2 (No. 38)
Asymmetric unit:
Ba  0.000  0.000  0.000 (multiplicity 2)
Mg  0.000  0.238  0.254 (multiplicity 4)
Mg  0.216  0.000  0.626 (multiplicity 4)
Mg  0.258  0.243  0.388 (multiplicity 8)
Mg  0.271  0.000  0.148 (multiplicity 4)
Mg  0.500  0.000  0.483 (multiplicity 2)
Mg  0.500  0.000  0.978 (multiplicity 2)
Mg  0.500  0.245  0.730 (multiplicity 4)
Ni  0.000  0.000  0.459 (multiplicity 2)

---

Entry 3:
For Ba5Cd2Sb5F, a structure optimized by DFT (GGA-PBE) gives the calculated X-ray diffraction stick pattern in this record (copper Kα).
Lines closer than 0.1° are merged.

The 10 most intense peaks (10° ≤ 2θ ≤ 90°), sorted by position:
- 3.501 Å, rel. 26.3, (0 6 2)
- 3.422 Å, rel. 38.8, (1 5 0)
- 3.268 Å, rel. 41.0, (1 3 3)
- 3.132 Å, rel. 98.7, (1 5 2)
- 3.042 Å, rel. 100.0, (1 1 4)
- 2.940 Å, rel. 22.7, (0 8 0)
- 2.857 Å, rel. 35.3, (1 5 3)
- 2.624 Å, rel. 32.0, (1 7 2)
- 2.494 Å, rel. 60.7, (2 0 0)
- 2.208 Å, rel. 23.0, (1 3 6)

Structure:
Cell: 4.988 23.523 15.562 Å, 90.00 90.00 90.00°
Space group Cmcm (No. 63)
Asymmetric unit:
Ba  0.000  0.000  0.000 (multiplicity 4)
Ba  0.000  0.096  0.250 (multiplicity 4)
Ba  0.000  0.101  0.750 (multiplicity 4)
Ba  0.000  0.275  0.618 (multiplicity 8)
Cd  0.000  0.367  0.089 (multiplicity 8)
Sb  0.000  0.149  0.010 (multiplicity 8)
Sb  0.000  0.292  0.250 (multiplicity 4)
Sb  0.000  0.491  0.158 (multiplicity 8)
F  0.000  0.350  0.750 (multiplicity 4)